No. 1
Calculated XRD peak list
Compound: CsPaIn2F8
Radiation: Cu Kα X-rays
Structure: DFT lattice parameters and positions (PBE)

Peak list (10 most intense, 10 to 90 degrees two-theta, in order of rising 2θ)
d (Å)  2θ (°)  Rel. int.
7.324  12.1  19
5.677  15.6  35
3.829  23.2  100
3.662  24.3  36
3.586  24.8  55
3.521  25.3  53
3.013  29.6  33
2.345  38.4  38
2.309  39.0  36
2.145  42.1  30

Cell and atoms:
Unit cell a=4.0637 b=7.3255 c=8.9848 alpha=90.05 beta=90.05 gamma=91.24
Element x y z (fractional)
Cs1 0.0000 0.0000 0.0000
Pa1 0.0000 0.0000 0.5000
In1 0.4996 0.5002 0.2098
In2 0.5004 0.4998 0.7902
F1 0.0025 0.1802 0.3141
F2 0.0032 0.1803 0.6862
F3 0.4860 0.6930 0.0001
F4 0.4970 0.8374 0.4998
F5 0.5030 0.1626 0.5002
F6 0.5140 0.3070 0.9999
F7 0.9968 0.8197 0.3138
F8 0.9975 0.8198 0.6859

No. 2
Calculated XRD peak list
Compound: Cs2RbInF4
Radiation: Cu Kα X-rays
Structure: DFT lattice parameters and positions (PBE)

Peak list (10 most intense, 10 to 90 degrees two-theta, in order of rising 2θ)
d (Å)  2θ (°)  Rel. int.
3.398  26.2  100
2.947  30.3  70
2.935  30.5  34
2.084  43.4  25
2.080  43.5  50
1.777  51.4  33
1.771  51.6  16
1.699  54.0  25
1.318  71.6  21
1.202  79.8  16

Cell and atoms:
Unit cell a=8.3183 b=8.3183 c=8.3183 alpha=119.88 beta=119.83 gamma=90.25
Element x y z (fractional)
Cs1 0.0000 0.0000 0.0000
Cs2 0.5000 0.0000 0.0000
Cs3 0.5000 0.0000 0.5000
Cs4 0.5000 0.5000 0.5000
Rb1 0.0000 0.0000 0.5000
Rb2 0.0000 0.5000 0.0000
In1 0.0000 0.5000 0.5000
In2 0.5000 0.5000 0.0000
F1 0.2308 0.7414 0.4895
F2 0.2446 0.2571 0.5125
F3 0.2446 0.7321 0.9875
F4 0.2481 0.2586 0.9895
F5 0.7519 0.7414 0.0105
F6 0.7554 0.2679 0.0125
F7 0.7554 0.7429 0.4875
F8 0.7692 0.2586 0.5105

No. 3
Calculated XRD peak list
Compound: CsScIn2F6
Radiation: Cu Kα X-rays
Structure: DFT lattice parameters and positions (PBE)

Peak list (10 most intense, 10 to 90 degrees two-theta, in order of rising 2θ)
d (Å)  2θ (°)  Rel. int.
4.950  17.9  29
3.596  24.8  100
3.507  25.4  47
3.232  27.6  26
3.157  28.3  54
2.937  30.4  19
2.381  37.8  16
2.370  38.0  35
1.963  46.3  20
1.950  46.6  18

Cell and atoms:
Unit cell a=6.3731 b=6.3824 c=6.5667 alpha=67.42 beta=67.65 gamma=66.73
Element x y z (fractional)
Cs1 0.0000 0.0000 0.0000
Sc1 0.5000 0.5000 0.5000
In1 0.2726 0.2708 0.2840
In2 0.7274 0.7292 0.7160
F1 0.1904 0.6511 0.4033
F2 0.3586 0.6022 0.7951
F3 0.3978 0.1948 0.6394
F4 0.6022 0.8052 0.3606
F5 0.6414 0.3978 0.2049
F6 0.8096 0.3489 0.5967

No. 4
Calculated XRD peak list
Compound: CsTl2InF4
Radiation: Cu Kα X-rays
Structure: DFT lattice parameters and positions (PBE)

Peak list (10 most intense, 10 to 90 degrees two-theta, in order of rising 2θ)
d (Å)  2θ (°)  Rel. int.
3.458  25.8  91
3.441  25.9  90
3.398  26.2  82
3.366  26.5  100
3.117  28.6  82
3.046  29.3  96
2.750  32.6  55
2.166  41.7  28
1.854  49.1  30
1.841  49.5  30

Cell and atoms:
Unit cell a=8.0954 b=8.3031 c=8.3249 alpha=117.17 beta=95.84 gamma=115.37
Element x y z (fractional)
Cs1 0.0000 0.0000 0.0000
Cs2 0.4935 0.0032 0.9590
Tl1 0.0066 0.4478 0.4735
Tl2 0.4288 0.8985 0.4116
Tl3 0.9285 0.4431 0.9297
Tl4 0.9408 0.8963 0.4447
In1 0.4173 0.4655 0.9271
In2 0.5349 0.4629 0.4953
F1 0.1126 0.8230 0.1918
F2 0.1914 0.8281 0.5981
F3 0.2114 0.5503 0.8137
F4 0.2553 0.4952 0.1440
F5 0.6457 0.8189 0.1192
F6 0.6597 0.8168 0.6607
F7 0.7263 0.4941 0.3088
F8 0.8220 0.5434 0.6926

No. 5
Calculated XRD peak list
Compound: Cs2NaIrF6
Radiation: Cu Kα X-rays
Structure: DFT lattice parameters and positions (PBE)

Peak list (10 most intense, 10 to 90 degrees two-theta, in order of rising 2θ)
d (Å)  2θ (°)  Rel. int.
5.140  17.3  37
3.148  28.4  100
2.684  33.4  18
2.226  40.5  34
1.817  50.2  41
1.713  53.5  8
1.574  58.7  22
1.505  61.6  8
1.408  66.4  19
1.190  80.8  22

Cell and atoms:
Unit cell a=6.2956 b=6.2956 c=6.2956 alpha=60.00 beta=60.00 gamma=60.00
Element x y z (fractional)
Cs1 0.2500 0.2500 0.2500
Cs2 0.7500 0.7500 0.7500
Na1 0.0000 0.0000 0.0000
Ir1 0.5000 0.5000 0.5000
F1 0.2692 0.2692 0.7308
F2 0.2692 0.7308 0.2692
F3 0.2692 0.7308 0.7308
F4 0.7308 0.2692 0.2692
F5 0.7308 0.2692 0.7308
F6 0.7308 0.7308 0.2692

No. 6
Calculated XRD peak list
Compound: CsRb2IrF6
Radiation: Cu Kα X-rays
Structure: DFT lattice parameters and positions (PBE)

Peak list (10 most intense, 10 to 90 degrees two-theta, in order of rising 2θ)
d (Å)  2θ (°)  Rel. int.
5.535  16.0  8
4.794  18.5  20
3.390  26.3  100
2.397  37.5  32
2.144  42.2  8
1.957  46.4  40
1.695  54.1  20
1.516  61.1  21
1.281  74.0  23
1.130  86.0  11

Cell and atoms:
Unit cell a=6.7791 b=6.7791 c=6.7791 alpha=60.00 beta=60.00 gamma=60.00
Element x y z (fractional)
Cs1 0.0000 0.0000 0.0000
Rb1 0.2500 0.2500 0.2500
Rb2 0.7500 0.7500 0.7500
Ir1 0.5000 0.5000 0.5000
F1 0.2876 0.2876 0.7124
F2 0.2876 0.7124 0.2876
F3 0.2876 0.7124 0.7124
F4 0.7124 0.2876 0.2876
F5 0.7124 0.2876 0.7124
F6 0.7124 0.7124 0.2876